Diffraction record for Sc4NbZn5. The PXRD pattern is calculated, not measured: it uses a cell relaxed with GGA-PBE and Cu Ka.
Neutral-atom scattering factors, no anomalous dispersion.

Principal peaks in the range 2θ from 10° to 90°, low angle first:
2θ (°)	d/Å	I_rel
10.8	8.189	4
26.8	3.330	2
38.2	2.355	53
38.6	2.335	100
42.8	2.111	3
47.5	1.913	2
55.2	1.665	17
56.2	1.638	7
69.3	1.356	32
70.0	1.345	14
81.8	1.177	5
82.6	1.168	9

Crystal structure
Unit cell a=3.3303 b=3.3303 c=16.3773 alpha=90.00 beta=90.00 gamma=90.00
Space group P4/mmm (No. 123)
One atom of each set of equivalent atoms:
Sc (0.0000, 0.0000, 0.1032) x2
Sc (0.0000, 0.0000, 0.3076) x2
Nb (0.0000, 0.0000, 0.5000) x1
Zn (0.5000, 0.5000, 0.0000) x1
Zn (0.5000, 0.5000, 0.2061) x2
Zn (0.5000, 0.5000, 0.4064) x2

Diffraction record for Nb2Se9. The PXRD pattern is calculated, not measured: it uses a cell relaxed with GGA-PBE and Cu Ka.
Neutral-atom scattering factors, no anomalous dispersion.

Principal peaks in the range 2θ from 10° to 90°, low angle first:
2θ (°)	d/Å	I_rel
10.3	8.597	24
13.2	6.701	100
13.7	6.476	68
14.0	6.317	58
24.7	3.599	42
31.6	2.834	29
33.4	2.681	20
34.7	2.585	34
35.4	2.538	24
37.5	2.399	21
40.7	2.216	25
42.0	2.150	25

Crystal structure
Unit cell a=8.5179 b=8.7553 c=8.8055 alpha=99.57 beta=97.07 gamma=94.10
Space group P-1 (No. 2)
One atom of each set of equivalent atoms:
Nb (0.0829, 0.1398, 0.1009) x2
Nb (0.4078, 0.4060, 0.3599) x2
Se (0.0495, 0.6083, 0.7843) x2
Se (0.0880, 0.8533, 0.1696) x2
Se (0.1165, 0.2863, 0.4063) x2
Se (0.1507, 0.0326, 0.8160) x2
Se (0.2187, 0.4273, 0.0948) x2
Se (0.3162, 0.6684, 0.5112) x2
Se (0.3983, 0.1149, 0.1812) x2
Se (0.4702, 0.3046, 0.6297) x2
Se (0.4888, 0.6653, 0.9127) x2

Diffraction record for Nb2Se3. The PXRD pattern is calculated, not measured: it uses a cell relaxed with GGA-PBE and Cu Ka.
Neutral-atom scattering factors, no anomalous dispersion.

Principal peaks in the range 2θ from 10° to 90°, low angle first:
2θ (°)	d/Å	I_rel
14.8	5.968	57
29.9	2.984	36
31.6	2.827	33
32.2	2.783	76
32.8	2.734	35
33.7	2.661	47
37.6	2.394	48
38.0	2.366	51
39.1	2.305	33
39.8	2.267	100
48.9	1.862	69
53.2	1.720	41

Crystal structure
Unit cell a=6.6448 b=3.4406 c=9.2777 alpha=90.00 beta=103.94 gamma=90.00
Space group P2_1/m (No. 11)
One atom of each set of equivalent atoms:
Nb (0.1138, 0.2500, 0.1360) x2
Nb (0.3168, 0.2500, 0.5015) x2
Se (0.0264, 0.7500, 0.3431) x2
Se (0.2713, 0.7500, 0.9855) x2
Se (0.4781, 0.7500, 0.7039) x2

Diffraction record for Nb2Se3. The PXRD pattern is calculated, not measured: it uses a cell relaxed with GGA-PBE and Cu Ka.
Neutral-atom scattering factors, no anomalous dispersion.

Principal peaks in the range 2θ from 10° to 90°, low angle first:
2θ (°)	d/Å	I_rel
17.1	5.179	15
29.9	2.984	11
31.2	2.867	55
34.7	2.586	44
39.9	2.258	100
46.4	1.956	18
53.0	1.726	13
53.2	1.723	39
53.9	1.701	15
65.1	1.434	8
68.5	1.369	20
78.4	1.219	24

Crystal structure
Unit cell a=3.4454 b=3.4454 c=10.3576 alpha=90.00 beta=90.00 gamma=120.00
Space group P3m1 (No. 156)
One atom of each set of equivalent atoms:
Nb (0.0000, 0.0000, 0.0000) x1
Nb (0.0000, 0.0000, 0.3399) x1
Se (0.3333, 0.6667, 0.8367) x1
Se (0.6667, 0.3333, 0.1758) x1
Se (0.6667, 0.3333, 0.5042) x1

Diffraction record for SmNb6Se8. The PXRD pattern is calculated, not measured: it uses a cell relaxed with GGA-PBE and Cu Ka.
Neutral-atom scattering factors, no anomalous dispersion.

Principal peaks in the range 2θ from 10° to 90°, low angle first:
2θ (°)	d/Å	I_rel
12.9	6.876	31
22.8	3.908	28
28.5	3.136	50
29.6	3.018	40
32.1	2.785	67
32.7	2.742	55
37.5	2.396	44
40.2	2.245	80
40.9	2.206	64
42.2	2.142	31
43.9	2.064	100
57.0	1.616	35

Crystal structure
Unit cell a=9.4988 b=9.4988 c=12.5242 alpha=90.00 beta=90.00 gamma=120.00
Space group R-3 (No. 148, hexagonal axes)
One atom of each set of equivalent atoms:
Sm (0.0000, 0.0000, 0.0000) x3
Nb (0.0228, 0.1828, 0.3918) x18
Se (0.0000, 0.0000, 0.2317) x6
Se (0.0075, 0.6340, 0.7603) x18

Diffraction record for Nb5SnSe8. The PXRD pattern is calculated, not measured: it uses a cell relaxed with GGA-PBE and Cu Ka.
Neutral-atom scattering factors, no anomalous dispersion.

Principal peaks in the range 2θ from 10° to 90°, low angle first:
2θ (°)	d/Å	I_rel
19.4	4.581	18
31.5	2.841	40
32.5	2.758	100
33.2	2.700	19
33.9	2.647	31
37.7	2.388	30
38.8	2.323	27
39.2	2.299	39
39.7	2.270	89
40.1	2.249	26
51.4	1.777	44
53.1	1.724	33

Crystal structure
Unit cell a=18.6664 b=3.4479 c=9.4068 alpha=90.00 beta=103.10 gamma=90.00
Space group C2/m (No. 12)
One atom of each set of equivalent atoms:
Nb (0.0000, 0.0000, 0.0000) x2
Nb (0.1409, 0.5000, 0.0008) x4
Nb (0.2123, 0.5000, 0.3700) x4
Sn (0.0000, 0.5000, 0.5000) x2
Se (0.0695, 0.5000, 0.2013) x4
Se (0.0844, 0.0000, 0.8070) x4
Se (0.1501, 0.0000, 0.5102) x4
Se (0.2416, 0.0000, 0.1594) x4

Diffraction record for TaNbSe6. The PXRD pattern is calculated, not measured: it uses a cell relaxed with GGA-PBE and Cu Ka.
Neutral-atom scattering factors, no anomalous dispersion.

Principal peaks in the range 2θ from 10° to 90°, low angle first:
2θ (°)	d/Å	I_rel
18.5	4.785	100
27.3	3.265	15
27.6	3.233	16
29.8	2.999	19
29.9	2.986	51
33.4	2.685	28
37.6	2.393	34
39.4	2.288	15
42.8	2.113	22
43.2	2.096	21
48.0	1.897	38
49.4	1.843	31

Crystal structure
Unit cell a=6.2916 b=6.5318 c=6.5381 alpha=68.66 beta=61.81 gamma=61.78
Space group P-1 (No. 2)
One atom of each set of equivalent atoms:
Ta (0.0000, 0.0000, 0.0000) x1
Nb (0.5000, 0.5000, 0.5000) x1
Se (0.1447, 0.3560, 0.8548) x2
Se (0.1483, 0.8584, 0.3528) x2
Se (0.4343, 0.7538, 0.7537) x2

Diffraction record for Ta2NbSe5. The PXRD pattern is calculated, not measured: it uses a cell relaxed with GGA-PBE and Cu Ka.
Neutral-atom scattering factors, no anomalous dispersion.

Principal peaks in the range 2θ from 10° to 90°, low angle first:
2θ (°)	d/Å	I_rel
14.7	6.032	53
16.6	5.338	23
19.1	4.643	87
27.6	3.227	76
35.7	2.515	100
36.9	2.438	84
38.0	2.367	57
42.3	2.137	61
42.7	2.117	49
45.8	1.983	52
53.1	1.724	43
72.2	1.308	40

Crystal structure
Unit cell a=5.0301 b=12.0642 c=11.4603 alpha=90.00 beta=90.00 gamma=90.00
Space group Cmcm (No. 63)
One atom of each set of equivalent atoms:
Ta (0.0000, 0.1465, 0.1108) x8
Nb (0.0000, 0.2413, 0.7500) x4
Se (0.0000, 0.0611, 0.6127) x8
Se (0.0000, 0.3177, 0.2500) x4
Se (0.0000, 0.3331, 0.5433) x8

Diffraction record for TbNb4Se8. The PXRD pattern is calculated, not measured: it uses a cell relaxed with GGA-PBE and Cu Ka.
Neutral-atom scattering factors, no anomalous dispersion.

Principal peaks in the range 2θ from 10° to 90°, low angle first:
2θ (°)	d/Å	I_rel
12.7	6.973	20
15.0	5.905	10
16.7	5.305	10
33.8	2.652	100
45.5	1.993	42
51.4	1.777	30
52.5	1.743	9
63.0	1.476	16
71.1	1.326	11
76.6	1.244	17
79.7	1.203	8
85.5	1.136	13

Crystal structure
Unit cell a=7.1077 b=7.1077 c=20.9180 alpha=90.00 beta=90.00 gamma=120.00
Space group R-3m (No. 166, hexagonal axes)
One atom of each set of equivalent atoms:
Tb (0.0000, 0.0000, 0.0000) x3
Nb (0.0000, 0.0000, 0.5000) x3
Nb (0.0000, 0.5000, 0.5000) x9
Se (0.0000, 0.0000, 0.2455) x6
Se (0.0109, 0.5055, 0.2467) x18

Diffraction record for Nb2TeSe3. The PXRD pattern is calculated, not measured: it uses a cell relaxed with GGA-PBE and Cu Ka.
Neutral-atom scattering factors, no anomalous dispersion.

Principal peaks in the range 2θ from 10° to 90°, low angle first:
2θ (°)	d/Å	I_rel
12.7	6.994	47
29.4	3.039	43
32.1	2.787	8
35.3	2.546	100
44.0	2.058	45
52.1	1.755	33
52.3	1.749	8
61.2	1.516	7
64.5	1.445	17
70.5	1.335	11
77.0	1.239	15
87.5	1.115	15

Crystal structure
Unit cell a=3.5091 b=3.5091 c=27.9763 alpha=90.00 beta=90.00 gamma=120.00
Space group P3m1 (No. 156)
One atom of each set of equivalent atoms:
Nb (0.0000, 0.0000, 0.0000) x1
Nb (0.0000, 0.0000, 0.4874) x1
Nb (0.6667, 0.3333, 0.2441) x1
Nb (0.6667, 0.3333, 0.7433) x1
Te (0.0000, 0.0000, 0.6739) x1
Te (0.0000, 0.0000, 0.8127) x1
Se (0.0000, 0.0000, 0.1842) x1
Se (0.0000, 0.0000, 0.3039) x1
Se (0.6667, 0.3333, 0.0598) x1
Se (0.6667, 0.3333, 0.4276) x1
Se (0.6667, 0.3333, 0.5472) x1
Se (0.6667, 0.3333, 0.9402) x1

Diffraction record for Nb2Te3Se. The PXRD pattern is calculated, not measured: it uses a cell relaxed with GGA-PBE and Cu Ka.
Neutral-atom scattering factors, no anomalous dispersion.

Principal peaks in the range 2θ from 10° to 90°, low angle first:
2θ (°)	d/Å	I_rel
12.4	7.137	28
25.0	3.568	11
28.4	3.139	42
34.2	2.620	100
42.8	2.112	40
50.4	1.812	33
51.2	1.784	8
62.3	1.490	17
68.2	1.375	10
74.7	1.271	16
84.1	1.151	15
89.5	1.095	10

Crystal structure
Unit cell a=3.6242 b=3.6242 c=28.5466 alpha=90.00 beta=90.00 gamma=120.00
Space group P3m1 (No. 156)
One atom of each set of equivalent atoms:
Nb (0.0000, 0.0000, 0.0000) x1
Nb (0.0000, 0.0000, 0.4892) x1
Nb (0.6667, 0.3333, 0.2442) x1
Nb (0.6667, 0.3333, 0.7450) x1
Te (0.0000, 0.0000, 0.6793) x1
Te (0.0000, 0.0000, 0.8107) x1
Te (0.6667, 0.3333, 0.0658) x1
Te (0.6667, 0.3333, 0.4234) x1
Te (0.6667, 0.3333, 0.5549) x1
Te (0.6667, 0.3333, 0.9343) x1
Se (0.0000, 0.0000, 0.1869) x1
Se (0.0000, 0.0000, 0.3016) x1

Diffraction record for Nb2VTe2Se4. The PXRD pattern is calculated, not measured: it uses a cell relaxed with GGA-PBE and Cu Ka.
Neutral-atom scattering factors, no anomalous dispersion.

Principal peaks in the range 2θ from 10° to 90°, low angle first:
2θ (°)	d/Å	I_rel
12.1	7.312	81
24.3	3.656	16
29.3	3.045	67
29.6	3.016	16
33.7	2.662	20
35.9	2.501	100
38.5	2.340	23
41.3	2.184	16
44.5	2.037	55
52.0	1.758	44
64.8	1.438	17
75.0	1.267	16

Crystal structure
Unit cell a=3.5157 b=3.5157 c=21.9347 alpha=90.00 beta=90.00 gamma=120.00
Space group P3m1 (No. 156)
One atom of each set of equivalent atoms:
Nb (0.0000, 0.0000, 0.0000) x1
Nb (0.3333, 0.6667, 0.3187) x1
V (0.3333, 0.6667, 0.6742) x1
Te (0.0000, 0.0000, 0.5929) x1
Te (0.0000, 0.0000, 0.7556) x1
Se (0.0000, 0.0000, 0.2426) x1
Se (0.0000, 0.0000, 0.3950) x1
Se (0.3333, 0.6667, 0.0762) x1
Se (0.3333, 0.6667, 0.9237) x1

Diffraction record for TiNb3Se6. The PXRD pattern is calculated, not measured: it uses a cell relaxed with GGA-PBE and Cu Ka.
Neutral-atom scattering factors, no anomalous dispersion.

Principal peaks in the range 2θ from 10° to 90°, low angle first:
2θ (°)	d/Å	I_rel
13.5	6.549	38
30.3	2.949	56
32.6	2.747	35
36.1	2.487	41
40.6	2.223	100
45.8	1.981	14
52.4	1.747	47
56.2	1.637	12
57.9	1.592	12
65.3	1.430	7
68.3	1.374	21
80.4	1.195	26

Crystal structure
Unit cell a=6.0529 b=6.0529 c=13.0983 alpha=90.00 beta=90.00 gamma=120.00
Space group P6_322 (No. 182)
One atom of each set of equivalent atoms:
Ti (0.3333, 0.6667, 0.2500) x2
Nb (0.0000, 0.0000, 0.0000) x2
Nb (0.3333, 0.6667, 0.0000) x4
Se (0.0035, 0.3333, 0.8714) x12